Diffraction record for Cs2GaAs2. The powder XRD pattern is simulated, not measured: it uses a crystal structure in Alexandria, relaxed with GGA-PBE and a wavelength of 1.5418 Å.
Kinematic intensities with the Lorentz-polarization factor, no thermal factor.

Atomic structure:
Cell lengths 7.776, 14.812, 6.738 Å; angles 90.00, 90.00, 90.00 degrees
Space group Ibam (No. 72)
Inequivalent atoms, fractional coordinates:
1 Cs 0.173 0.146 0.000
2 Ga 0.000 0.500 0.250
3 As 0.168 0.407 0.000

Peak list (12 most intense, 10° ≤ 2θ ≤ 80°, by angle)
| d/Å | 2θ/deg | I (rel.) |
| --- | --- | --- |
| 4.196 | 21.17 | 30 |
| 4.168 | 21.32 | 45 |
| 3.703 | 24.03 | 38 |
| 3.369 | 26.46 | 53 |
| 3.284 | 27.16 | 100 |
| 2.995 | 29.83 | 61 |
| 2.782 | 32.18 | 49 |
| 2.681 | 33.42 | 32 |
| 2.546 | 35.25 | 38 |
| 2.492 | 36.04 | 65 |
| 1.747 | 52.39 | 29 |
| 1.740 | 52.60 | 30 |

---

Diffraction record for Na5HSeO2. The powder XRD pattern is simulated, not measured: it uses a crystal structure in Alexandria, relaxed with GGA-PBE and a wavelength of 1.5418 Å.
Kinematic intensities with the Lorentz-polarization factor, no thermal factor.

Atomic structure:
Cell lengths 4.558, 4.558, 7.429 Å; angles 90.00, 90.00, 90.00 degrees
Space group P4/mmm (No. 123)
Inequivalent atoms, fractional coordinates:
1 Na 0.000 0.000 0.000
2 Na 0.000 0.500 0.272
3 H 0.000 0.000 0.500
4 Se 0.500 0.500 0.000
5 O 0.000 0.000 0.331

Peak list (12 most intense, 10° ≤ 2θ ≤ 80°, by angle)
| d/Å | 2θ/deg | I (rel.) |
| --- | --- | --- |
| 7.429 | 11.91 | 59 |
| 3.885 | 22.89 | 59 |
| 2.957 | 30.23 | 51 |
| 2.879 | 31.06 | 25 |
| 2.476 | 36.28 | 24 |
| 2.434 | 36.93 | 100 |
| 2.279 | 39.54 | 68 |
| 1.965 | 46.20 | 30 |
| 1.677 | 54.74 | 27 |
| 1.611 | 57.16 | 21 |
| 1.350 | 69.64 | 21 |
| 1.344 | 70.02 | 28 |

---

Diffraction record for Ti2Nb5Re. The powder XRD pattern is simulated, not measured: it uses a crystal structure in Alexandria, relaxed with GGA-PBE and a wavelength of 1.5418 Å.
Kinematic intensities with the Lorentz-polarization factor, no thermal factor.

Atomic structure:
Cell lengths 4.586, 4.586, 13.218 Å; angles 90.00, 90.00, 90.00 degrees
Space group I4/mmm (No. 139)
Inequivalent atoms, fractional coordinates:
1 Ti 0.000 0.000 0.249
2 Nb 0.000 0.000 0.500
3 Nb 0.000 0.500 0.121
4 Re 0.000 0.000 0.000

Peak list (12 most intense, 10° ≤ 2θ ≤ 80°, by angle)
| d/Å | 2θ/deg | I (rel.) |
| --- | --- | --- |
| 6.609 | 13.40 | 24 |
| 4.333 | 20.50 | 7 |
| 3.177 | 28.08 | 3 |
| 2.911 | 30.71 | 9 |
| 2.315 | 38.91 | 100 |
| 2.293 | 39.29 | 50 |
| 2.166 | 41.69 | 6 |
| 1.822 | 50.06 | 5 |
| 1.652 | 55.63 | 8 |
| 1.621 | 56.78 | 17 |
| 1.341 | 70.21 | 16 |
| 1.328 | 70.97 | 32 |